Record 1
The following is a computed X-ray diffraction stick pattern of La6Dy5Tm. It was derived from the GGA-PBE geometry in Alexandria, using Cu Kα (weighted mean of Kα1 and Kα2).

Structure:
a = 9.6527 Å, b = 9.6527 Å, c = 6.2038 Å
α = 92.45°, β = 92.45°, γ = 45.09°
Element x y z (fractional)
1 La 0.0833 0.5840 0.3340
2 La 0.2494 0.7506 0.0000
3 La 0.4160 0.9167 0.6660
4 La 0.5840 0.0833 0.3340
5 La 0.7506 0.2494 0.0000
6 La 0.9167 0.4160 0.6660
7 Dy 0.1666 0.1666 0.1667
8 Dy 0.3333 0.3333 0.8341
9 Dy 0.5000 0.5000 0.5000
10 Dy 0.6667 0.6667 0.1659
11 Dy 0.8334 0.8334 0.8333
12 Tm 0.0000 0.0000 0.5000

Peak list (10 most intense, 2θ = 10–80°, in order of rising 2θ)
30.09°, intensity 100; 34.28°, intensity 35; 36.07°, intensity 15; 49.26°, intensity 13; 50.61°, intensity 24; 58.81°, intensity 30; 61.20°, intensity 13; 62.56°, intensity 12; 72.23°, intensity 4; 76.52°, intensity 2

---

Record 2
The following is a computed X-ray diffraction stick pattern of La5Dy4Tm2. It was derived from the GGA-PBE geometry in Alexandria, using Cu Kα (weighted mean of Kα1 and Kα2).

Structure:
a = 9.0689 Å, b = 9.0689 Å, c = 11.7485 Å
α = 93.84°, β = 93.84°, γ = 22.67°
Element x y z (fractional)
1 La 0.0000 0.0000 0.0000
2 La 0.3231 0.3231 0.9272
3 La 0.4019 0.4019 0.4644
4 La 0.5981 0.5981 0.5356
5 La 0.6769 0.6769 0.0728
6 Dy 0.1408 0.1408 0.7970
7 Dy 0.4628 0.4628 0.7372
8 Dy 0.5372 0.5372 0.2628
9 Dy 0.8592 0.8592 0.2030
10 Tm 0.2153 0.2153 0.3500
11 Tm 0.7847 0.7847 0.6500

Peak list (10 most intense, 2θ = 10–80°, in order of rising 2θ)
29.58°, intensity 26; 29.94°, intensity 23; 30.51°, intensity 36; 30.67°, intensity 57; 31.51°, intensity 100; 32.59°, intensity 41; 33.57°, intensity 21; 55.06°, intensity 18; 60.91°, intensity 17; 61.42°, intensity 38

---

Record 3
The following is a computed X-ray diffraction stick pattern of La5DyTm6. It was derived from the GGA-PBE geometry in Alexandria, using Cu Kα (weighted mean of Kα1 and Kα2).

Structure:
a = 9.5626 Å, b = 9.5626 Å, c = 6.1186 Å
α = 92.90°, β = 92.90°, γ = 45.15°
Element x y z (fractional)
1 La 0.0000 0.0000 0.0000
2 La 0.1670 0.1670 0.6672
3 La 0.3359 0.3359 0.3310
4 La 0.6641 0.6641 0.6690
5 La 0.8330 0.8330 0.3328
6 Dy 0.5000 0.5000 0.0000
7 Tm 0.0849 0.5837 0.8313
8 Tm 0.2514 0.7486 0.5000
9 Tm 0.4163 0.9151 0.1687
10 Tm 0.5837 0.0849 0.8313
11 Tm 0.7486 0.2514 0.5000
12 Tm 0.9151 0.4163 0.1687

Peak list (10 most intense, 2θ = 10–80°, in order of rising 2θ)
30.43°, intensity 100; 34.55°, intensity 36; 36.70°, intensity 15; 49.66°, intensity 13; 51.29°, intensity 23; 59.37°, intensity 30; 62.23°, intensity 13; 63.32°, intensity 12; 72.87°, intensity 4; 78.04°, intensity 2